The following is a simulated powder diffraction line list of Rb3H3Pt. It was derived from the PBE geometry in Alexandria, using Cu Kα X-rays.
Peak positions follow from Bragg's law for the DFT cell and can differ from measured ones.

Top 12 peaks for 10° ≤ 2θ ≤ 80°, most intense first:
| d [Å] | two_theta | I_rel | h k l |
| --- | --- | --- | --- |
| 3.158 | 28.26 | 100 | 0 1 2 |
| 3.125 | 28.56 | 52 | 2 1 -1 |
| 2.828 | 31.63 | 40 | 0 2 0 |
| 2.746 | 32.61 | 34 | 2 1 1 |
| 3.807 | 23.37 | 29 | 0 0 2 |
| 2.682 | 33.41 | 22 | 2 1 -2 |
| 6.093 | 14.54 | 22 | 1 0 -1 |
| 1.605 | 57.40 | 20 | 4 2 -1 |
| 1.950 | 46.58 | 19 | 4 0 -1 |
| 4.876 | 18.19 | 16 | 1 0 1 |
| 1.690 | 54.29 | 16 | 0 3 2 |
| 1.679 | 54.68 | 16 | 4 1 1 |

Structural model:
abc: 7.796 5.657 7.811
angles: 90.00 102.66 90.00
Fractional coordinates of all 14 atoms:
Rb: 0.077 0.250 0.307
Rb: 0.292 0.750 0.083
Rb: 0.379 0.750 0.644
Rb: 0.621 0.250 0.356
Rb: 0.708 0.250 0.917
Rb: 0.923 0.750 0.693
H: 0.005 0.250 0.658
H: 0.349 0.250 0.650
H: 0.352 0.250 0.993
H: 0.648 0.750 0.007
H: 0.651 0.750 0.350
H: 0.995 0.750 0.342
Pt: 0.205 0.250 0.799
Pt: 0.795 0.750 0.201